Record 1
Starting from a PBE-relaxed structure, the PXRD pattern of AgTe2Se2Br2 was computed for Cu Ka.

Crystal structure
```
7
Lattice="3.843 0.000 0.000 -1.916 7.348 0.000 -1.888 -2.479 7.687" Properties=species:S:1:pos:R:3 pbc="T T T"
Ag 0.000 0.000 0.000
Te 0.014 3.811 1.672
Te 0.026 1.058 6.015
Se -1.908 5.601 2.079
Se 1.949 -0.733 5.607
Br -1.893 3.435 5.965
Br 1.933 1.434 1.722
```

Principal peaks in the range 2θ = 5–70°, most intense first:
| 2theta | intensity |
| --- | --- |
| 31.78 | 100 |
| 31.88 | 60 |
| 23.14 | 57 |
| 11.51 | 44 |
| 47.30 | 34 |
| 46.36 | 23 |
| 22.72 | 22 |
| 39.35 | 20 |
| 43.91 | 20 |
| 28.76 | 19 |
| 43.39 | 16 |
| 33.35 | 16 |



Record 2
Starting from a PBE-relaxed structure, the PXRD pattern of Ag5TeSe4Br2 was computed for Cu Ka.

Crystal structure
```
12
Lattice="7.963 0.000 0.000 0.000 5.989 3.361 0.000 -5.989 3.361" Properties=species:S:1:pos:R:3 pbc="T T T"
Ag 0.000 0.000 0.000
Ag 2.211 -2.255 3.428
Ag 2.211 2.255 3.428
Ag 5.752 -2.255 3.428
Ag 5.752 2.255 3.428
Te 3.981 0.000 0.984
Se 1.566 0.000 2.176
Se 3.981 -3.992 2.581
Se 3.981 3.992 2.581
Se 6.397 0.000 2.176
Br 0.000 -2.155 5.132
Br 0.000 2.155 5.132
```

Principal peaks in the range 2θ = 5–70°, most intense first:
| 2theta | intensity |
| --- | --- |
| 25.96 | 100 |
| 27.07 | 96 |
| 38.13 | 69 |
| 46.25 | 49 |
| 32.56 | 32 |
| 34.50 | 27 |
| 53.22 | 25 |
| 45.43 | 25 |
| 46.48 | 22 |
| 43.08 | 22 |
| 45.57 | 21 |
| 34.94 | 17 |